Simulated powder XRD pattern of Li2FeNi3O8 for Cu Kα X-rays, from a DFT-relaxed cell (PBE+U, Alexandria).
Lines closer than 0.1° are merged.

Principal peaks in the range 2θ from 5° to 70°, in order of falling intensity:
| two_theta | intensity |
| --- | --- |
| 19.03 | 1000 |
| 20.36 | 739 |
| 37.71 | 510 |
| 37.10 | 507 |
| 47.02 | 487 |
| 36.65 | 460 |
| 20.08 | 443 |
| 62.41 | 397 |
| 64.67 | 325 |
| 34.09 | 320 |

Structural model:
```
Li2FeNi3O8
1.0
2.8333 -5.0221 0.0000
2.8333 5.0221 0.0000
0.0000 0.0000 9.3253
Li Fe Ni O
4 2 6 16
direct
0.0038 0.9962 0.5000
0.3340 0.6660 0.3886
0.6660 0.3340 0.8886
0.9962 0.0038 0.0000
0.3362 0.6638 0.9948
0.6638 0.3362 0.4948
0.1689 0.3394 0.7142
0.1701 0.8299 0.7178
0.3394 0.1689 0.2142
0.6606 0.8311 0.7142
0.8299 0.1701 0.2178
0.8311 0.6606 0.2142
0.0126 0.9874 0.3122
0.0388 0.5117 0.8340
0.1594 0.8406 0.1014
0.1659 0.3226 0.1073
0.3226 0.1659 0.6073
0.3447 0.6553 0.6052
0.4808 0.5192 0.8314
0.4883 0.9612 0.8340
0.5117 0.0388 0.3340
0.5192 0.4808 0.3314
0.6553 0.3447 0.1052
0.6774 0.8340 0.1073
0.8340 0.6774 0.6073
0.8406 0.1594 0.6014
0.9612 0.4883 0.3340
0.9874 0.0126 0.8122
```